The following is a simulated powder X-ray diffraction pattern of Na2NiPdF8. It was derived from a crystal structure in Alexandria, relaxed with PBE+U, using λ = 1.5418 Å (Cu Kα).

Principal peaks in the range 2θ = 10–80°, in order of rising 2θ:
| (hkl) | 2theta | I/Imax |
| --- | --- | --- |
| 0 1 0 | 17.47 | 72.3 |
| 1 0 0 | 17.67 | 69.3 |
| 1 1 0 | 24.13 | 100.0 |
| 1 -1 0 | 25.74 | 66.2 |
| 0 1 -2 | 32.67 | 39.9 |
| 1 0 -2 | 32.78 | 41.1 |
| 1 1 -2 | 36.82 | 59.8 |
| 1 2 2 | 48.08 | 34.4 |
| 2 1 2 | 48.32 | 34.5 |
| 3 0 2 | 62.35 | 22.4 |

Structure:
Cell: 5.030 5.085 6.514 Å, 89.95 89.95 86.36°
Space group P-1 (No. 2)
Symmetry-distinct sites (fractional):
1 Na 0.000 0.000 0.240 x2
2 Ni 0.500 0.500 0.000 x1
3 Pd 0.500 0.500 0.500 x1
4 F 0.221 0.782 0.500 x2
5 F 0.226 0.775 0.000 x2
6 F 0.324 0.329 0.271 x2
7 F 0.324 0.329 0.729 x2